For SrMo2As2O12, a DFT-relaxed cell (PBE+U, Alexandria) gives the computed PXRD pattern in this record (Cu Kα (weighted mean of Kα1 and Kα2)).
Intensities are scaled so that the largest is 100.

Structure:
abc: 6.6836 7.0448 10.7170
angles: 90.00 91.29 90.00
Sites, in units of the cell vectors:
Sr1 0.0000 0.0000 0.0000
Sr2 0.0000 0.5000 0.5000
Mo1 0.2483 0.0435 0.6646
Mo2 0.2483 0.4565 0.1646
Mo3 0.7517 0.5435 0.8354
Mo4 0.7517 0.9565 0.3354
As1 0.2444 0.0461 0.3456
As2 0.2444 0.4539 0.8456
As3 0.7556 0.5461 0.1544
As4 0.7556 0.9539 0.6544
O1 0.0499 0.6157 0.8419
O2 0.0499 0.8843 0.3419
O3 0.2128 0.6797 0.0964
O4 0.2128 0.8203 0.5964
O5 0.2264 0.1870 0.4750
O6 0.2264 0.3130 0.9750
O7 0.2404 0.1523 0.2014
O8 0.2404 0.3477 0.7014
O9 0.2504 0.5107 0.3229
O10 0.2504 0.9893 0.8229
O11 0.4624 0.5859 0.8574
O12 0.4624 0.9141 0.3574
O13 0.5376 0.0859 0.6426
O14 0.5376 0.4141 0.1426
O15 0.7496 0.0107 0.1771
O16 0.7496 0.4893 0.6771
O17 0.7596 0.6523 0.2986
O18 0.7596 0.8477 0.7986
O19 0.7736 0.6870 0.0250
O20 0.7736 0.8130 0.5250
O21 0.7872 0.1797 0.4036
O22 0.7872 0.3203 0.9036
O23 0.9501 0.1157 0.6581
O24 0.9501 0.3843 0.1581

Top 12 peaks for 5° ≤ 2θ ≤ 70°, by angle:
Position (°2θ)	intensity	index
13.25	21.0	1 0 0
15.05	45.3	0 1 1
18.30	21.5	1 1 0
20.23	22.1	1 1 1
25.28	54.9	0 2 0
26.68	37.8	2 0 0
28.01	100.0	0 1 3
30.61	28.6	2 1 -1
30.92	30.3	2 1 1
46.27	14.7	0 3 3
51.15	14.1	0 0 6
54.97	13.3	4 0 0